Computed X-ray diffraction stick pattern of Ca3BiP for a wavelength of 1.5418 Å, from a cell relaxed with PBE.
Peak positions follow from Bragg's law for the DFT cell and can differ from measured ones.

Atomic structure:
```
data_Ca3BiP
_cell_length_a 6.884
_cell_length_b 5.418
_cell_length_c 8.406
_cell_angle_alpha 90.00
_cell_angle_beta 93.98
_cell_angle_gamma 90.00
_symmetry_space_group_name_H-M 'P 1'
_symmetry_Int_Tables_number 1
loop_
_symmetry_equiv_pos_as_xyz
'x,y,z'
loop_
_atom_site_label
_atom_site_type_symbol
_atom_site_fract_x
_atom_site_fract_y
_atom_site_fract_z
Ca1 Ca 0.000 0.000 0.000
Ca2 Ca 0.221 0.000 0.385
Ca3 Ca 0.235 0.500 0.764
Ca4 Ca 0.500 0.000 0.000
Ca5 Ca 0.765 0.500 0.236
Ca6 Ca 0.779 0.000 0.615
Bi1 Bi 0.266 0.500 0.171
Bi2 Bi 0.734 0.500 0.829
P1 P 0.210 0.000 0.714
P2 P 0.790 0.000 0.286
```

Largest 10 diffraction maxima, in order of rising 2θ, 2θ from 10° to 90°:
Position (°2θ)	intensity
10.55	100
17.25	70
23.03	60
25.95	87
26.89	68
29.26	76
30.83	75
32.05	79
33.06	87
36.16	93

---

Computed X-ray diffraction stick pattern of Ca6BiP2 for a wavelength of 1.5418 Å, from a cell relaxed with PBE.
Peak positions follow from Bragg's law for the DFT cell and can differ from measured ones.

Atomic structure:
```
data_Ca6BiP2
_cell_length_a 5.004
_cell_length_b 5.004
_cell_length_c 12.326
_cell_angle_alpha 90.00
_cell_angle_beta 90.00
_cell_angle_gamma 120.00
_symmetry_space_group_name_H-M 'P 1'
_symmetry_Int_Tables_number 1
loop_
_symmetry_equiv_pos_as_xyz
'x,y,z'
loop_
_atom_site_label
_atom_site_type_symbol
_atom_site_fract_x
_atom_site_fract_y
_atom_site_fract_z
Ca1 Ca 0.000 0.000 0.224
Ca2 Ca 0.000 0.000 0.776
Ca3 Ca 0.333 0.667 0.394
Ca4 Ca 0.333 0.667 0.923
Ca5 Ca 0.667 0.333 0.077
Ca6 Ca 0.667 0.333 0.606
Bi1 Bi 0.000 0.000 0.500
P1 P 0.333 0.667 0.158
P2 P 0.667 0.333 0.842
```

Largest 10 diffraction maxima, in order of rising 2θ, 2θ from 10° to 90°:
Position (°2θ)	intensity
20.49	34
21.63	25
21.74	100
25.12	25
29.97	53
35.75	82
35.89	79
42.32	43
51.56	28
64.45	41

---

Computed X-ray diffraction stick pattern of Ca3BiP for a wavelength of 1.5418 Å, from a cell relaxed with PBE.
Peak positions follow from Bragg's law for the DFT cell and can differ from measured ones.

Atomic structure:
```
data_Ca3BiP
_cell_length_a 4.590
_cell_length_b 7.177
_cell_length_c 9.073
_cell_angle_alpha 90.00
_cell_angle_beta 90.00
_cell_angle_gamma 90.00
_symmetry_space_group_name_H-M 'P 1'
_symmetry_Int_Tables_number 1
loop_
_symmetry_equiv_pos_as_xyz
'x,y,z'
loop_
_atom_site_label
_atom_site_type_symbol
_atom_site_fract_x
_atom_site_fract_y
_atom_site_fract_z
Ca1 Ca 0.250 0.006 0.157
Ca2 Ca 0.250 0.250 0.577
Ca3 Ca 0.250 0.494 0.157
Ca4 Ca 0.750 0.506 0.843
Ca5 Ca 0.750 0.750 0.423
Ca6 Ca 0.750 0.994 0.843
Bi1 Bi 0.250 0.750 0.653
Bi2 Bi 0.750 0.250 0.347
P1 P 0.250 0.250 0.896
P2 P 0.750 0.750 0.104
```

Largest 10 diffraction maxima, in order of rising 2θ, 2θ from 10° to 90°:
Position (°2θ)	intensity
15.74	64
21.70	34
23.20	54
25.03	30
26.72	36
27.65	80
33.19	100
37.76	44
38.94	36
39.26	27

---

Computed X-ray diffraction stick pattern of Ca3PrBi2P for a wavelength of 1.5418 Å, from a cell relaxed with PBE.
Peak positions follow from Bragg's law for the DFT cell and can differ from measured ones.

Atomic structure:
```
data_Ca3PrBi2P
_cell_length_a 9.135
_cell_length_b 9.135
_cell_length_c 9.135
_cell_angle_alpha 146.40
_cell_angle_beta 144.84
_cell_angle_gamma 49.42
_symmetry_space_group_name_H-M 'P 1'
_symmetry_Int_Tables_number 1
loop_
_symmetry_equiv_pos_as_xyz
'x,y,z'
loop_
_atom_site_label
_atom_site_type_symbol
_atom_site_fract_x
_atom_site_fract_y
_atom_site_fract_z
Ca1 Ca 0.000 0.000 0.000
Ca2 Ca 0.172 0.672 0.500
Ca3 Ca 0.828 0.328 0.500
Pr1 Pr 0.500 0.500 0.000
Bi1 Bi 0.365 0.865 0.500
Bi2 Bi 0.635 0.135 0.500
P1 P 0.000 0.500 0.500
```

Largest 10 diffraction maxima, in order of rising 2θ, 2θ from 10° to 90°:
Position (°2θ)	intensity
16.93	47
23.30	71
25.70	28
31.86	100
32.43	42
33.96	26
40.33	21
47.66	28
57.53	16
59.45	17